Tb5HfGe4: simulated PXRD pattern (a wavelength of 1.5418 Å), based on a cell relaxed with GGA-PBE.
Lines closer than 0.1° are merged.

Top 10 peaks for 10° ≤ 2θ ≤ 90°, by angle:
2θ = 26.9°, I 21, (4 0 -2); 2θ = 26.9°, I 43, (3 1 0); 2θ = 28.6°, I 18, (2 0 2); 2θ = 31.5°, I 52, (6 0 0); 2θ = 31.8°, I 100, (1 1 -2); 2θ = 44.2°, I 40, (7 1 -2); 2θ = 44.5°, I 20, (0 2 0); 2θ = 46.4°, I 35, (5 1 2); 2θ = 46.6°, I 16, (2 0 -4); 2θ = 55.5°, I 26, (6 2 0)

Atomic structure:
```
data_Tb5HfGe4
_cell_length_a 17.759
_cell_length_b 4.072
_cell_length_c 7.817
_cell_angle_alpha 90.00
_cell_angle_beta 106.34
_cell_angle_gamma 90.00
_symmetry_space_group_name_H-M 'C 1 2/m 1'
_symmetry_Int_Tables_number 12
loop_
_symmetry_equiv_pos_as_xyz
'x,y,z'
'-x,-y,-z'
'-x,y,-z'
'x,-y,z'
'x+1/2,y+1/2,z'
'-x+1/2,-y+1/2,-z'
'-x+1/2,y+1/2,-z'
'x+1/2,-y+1/2,z'
loop_
_atom_site_label
_atom_site_fract_x
_atom_site_fract_y
_atom_site_fract_z
Tb1 0.000 0.000 0.000
Tb2 0.168 0.500 0.340
Tb3 0.168 0.500 0.856
Hf1 0.000 0.000 0.500
Ge1 0.000 0.500 0.261
Ge2 0.164 0.000 0.600
```


Li2LaPmSe4: simulated PXRD pattern (a wavelength of 1.5418 Å), based on a cell relaxed with GGA-PBE.
Lines closer than 0.1° are merged.

Top 10 peaks for 10° ≤ 2θ ≤ 90°, by angle:
2θ = 13.6°, I 38, (1 0 0); 2θ = 24.7°, I 36, (1 0 -2); 2θ = 30.4°, I 100, (1 1 1); 2θ = 33.5°, I 19, (2 1 -1); 2θ = 42.6°, I 39, (0 2 0); 2θ = 44.6°, I 34, (3 1 -1); 2θ = 53.3°, I 20, (2 2 -2); 2θ = 70.5°, I 17, (1 3 1); 2θ = 73.3°, I 15, (4 2 0); 2θ = 79.4°, I 12, (3 3 -1)

Atomic structure:
```
data_Li2LaPmSe4
_cell_length_a 6.954
_cell_length_b 4.242
_cell_length_c 7.349
_cell_angle_alpha 90.00
_cell_angle_beta 110.56
_cell_angle_gamma 90.00
_symmetry_space_group_name_H-M 'P 1 2/m 1'
_symmetry_Int_Tables_number 10
loop_
_symmetry_equiv_pos_as_xyz
'x,y,z'
'-x,-y,-z'
'-x,y,-z'
'x,-y,z'
loop_
_atom_site_label
_atom_site_fract_x
_atom_site_fract_y
_atom_site_fract_z
Li1 0.000 0.000 0.000
Li2 0.000 0.500 0.500
La1 0.500 0.000 0.500
Pm1 0.500 0.500 0.000
Se1 0.240 0.500 0.242
Se2 0.241 0.000 0.752
```


K3MgHg12: simulated PXRD pattern (a wavelength of 1.5418 Å), based on a cell relaxed with GGA-PBE.
Lines closer than 0.1° are merged.

Top 10 peaks for 10° ≤ 2θ ≤ 90°, by angle:
2θ = 17.8°, I 14, (1 0 0); 2θ = 26.0°, I 10, (1 0 4); 2θ = 31.7°, I 100, (1 1 4); 2θ = 36.1°, I 41, (2 0 0); 2θ = 38.0°, I 9, (0 0 8); 2θ = 51.9°, I 15, (2 2 0); 2θ = 53.4°, I 14, (2 0 8); 2θ = 59.8°, I 9, (1 1 11); 2θ = 62.1°, I 30, (3 1 4); 2θ = 87.5°, I 10, (4 2 0)

Atomic structure:
```
data_K3MgHg12
_cell_length_a 4.983
_cell_length_b 4.983
_cell_length_c 18.931
_cell_angle_alpha 90.00
_cell_angle_beta 90.00
_cell_angle_gamma 90.00
_symmetry_space_group_name_H-M 'P 4/m m m'
_symmetry_Int_Tables_number 123
_symmetry_space_group_name_Hall '-P 4 2'
loop_
_atom_site_label
_atom_site_fract_x
_atom_site_fract_y
_atom_site_fract_z
K1 0.000 0.000 0.000
K2 0.000 0.000 0.266
Mg1 0.000 0.000 0.500
Hg1 0.000 0.500 0.133
Hg2 0.000 0.500 0.395
Hg3 0.500 0.500 0.000
Hg4 0.500 0.500 0.272
Hg5 0.500 0.500 0.500
```


NpGa3Os: simulated PXRD pattern (a wavelength of 1.5418 Å), based on a cell relaxed with GGA-PBE.
Lines closer than 0.1° are merged.

Top 10 peaks for 10° ≤ 2θ ≤ 90°, by angle:
2θ = 25.7°, I 77, (0 1 2); 2θ = 27.6°, I 76, (1 1 0); 2θ = 30.4°, I 18, (0 0 3); 2θ = 33.6°, I 27, (0 2 1); 2θ = 38.1°, I 100, (2 0 2); 2θ = 41.5°, I 18, (1 1 3); 2θ = 44.1°, I 17, (1 0 4); 2θ = 47.7°, I 31, (1 2 2); 2θ = 52.8°, I 31, (0 2 4); 2θ = 57.0°, I 32, (2 2 0)

Atomic structure:
```
data_NpGa3Os
_cell_length_a 6.4652
_cell_length_b 6.4652
_cell_length_c 8.8311
_cell_angle_alpha 90.00
_cell_angle_beta 90.00
_cell_angle_gamma 120.00
_symmetry_space_group_name_H-M 'R 3 m'
_symmetry_Int_Tables_number 160
_symmetry_space_group_name_Hall 'R 3 -2"'
loop_
_atom_site_label
_atom_site_fract_x
_atom_site_fract_y
_atom_site_fract_z
Np1 0.0000 0.0000 0.0000
Ga1 0.1813 0.3626 0.3072
Os1 0.0000 0.0000 0.4455
```


TbPmErMg: simulated PXRD pattern (a wavelength of 1.5418 Å), based on a cell relaxed with GGA-PBE.
Lines closer than 0.1° are merged.

Top 10 peaks for 10° ≤ 2θ ≤ 90°, by angle:
2θ = 24.5°, I 9, (1 0 0); 2θ = 26.4°, I 18, (1 0 1); 2θ = 31.5°, I 100, (1 0 2); 2θ = 35.0°, I 40, (1 1 0); 2θ = 39.4°, I 12, (0 0 4); 2θ = 46.3°, I 9, (1 1 3); 2θ = 50.3°, I 14, (2 0 0); 2θ = 53.7°, I 19, (1 1 4); 2θ = 60.6°, I 31, (2 1 2); 2θ = 65.7°, I 10, (2 0 4)

Atomic structure:
```
data_TbPmErMg
_cell_length_a 3.627
_cell_length_b 3.627
_cell_length_c 9.142
_cell_angle_alpha 90.00
_cell_angle_beta 90.00
_cell_angle_gamma 90.00
_symmetry_space_group_name_H-M 'P 4 m m'
_symmetry_Int_Tables_number 99
loop_
_symmetry_equiv_pos_as_xyz
'x,y,z'
'-y,x,z'
'-x,-y,z'
'y,-x,z'
'-x,y,z'
'y,x,z'
'x,-y,z'
'-y,-x,z'
loop_
_atom_site_label
_atom_site_fract_x
_atom_site_fract_y
_atom_site_fract_z
Tb1 0.000 0.000 0.000
Pm1 0.500 0.500 0.273
Er1 0.000 0.000 0.543
Mg1 0.500 0.500 0.768
```


LaNpSe3: simulated PXRD pattern (a wavelength of 1.5418 Å), based on a cell relaxed with GGA-PBE.
Lines closer than 0.1° are merged.

Top 10 peaks for 10° ≤ 2θ ≤ 90°, by angle:
2θ = 24.6°, I 100, (1 1 1); 2θ = 24.8°, I 37, (1 0 4); 2θ = 26.8°, I 30, (0 1 3); 2θ = 33.1°, I 86, (2 1 2); 2θ = 34.9°, I 55, (0 1 5); 2θ = 35.4°, I 41, (2 1 3); 2θ = 36.8°, I 55, (1 1 5); 2θ = 41.1°, I 37, (3 1 1); 2θ = 42.8°, I 50, (0 2 0); 2θ = 44.2°, I 33, (3 1 3)

Atomic structure:
```
data_LaNpSe3
_cell_length_a 7.804
_cell_length_b 4.228
_cell_length_c 16.192
_cell_angle_alpha 90.00
_cell_angle_beta 90.00
_cell_angle_gamma 90.00
_symmetry_space_group_name_H-M 'P n m a'
_symmetry_Int_Tables_number 62
loop_
_symmetry_equiv_pos_as_xyz
'x,y,z'
'-x,-y,-z'
'-x+1/2,-y,z+1/2'
'x+1/2,y,-z+1/2'
'x+1/2,-y+1/2,-z+1/2'
'-x+1/2,y+1/2,z+1/2'
'-x,y+1/2,-z'
'x,-y+1/2,z'
loop_
_atom_site_label
_atom_site_fract_x
_atom_site_fract_y
_atom_site_fract_z
La1 0.132 0.250 0.203
Np1 0.233 0.750 0.460
Se1 0.011 0.250 0.397
Se2 0.127 0.750 0.064
Se3 0.156 0.250 0.784
```


Na4Ce3AuS8: simulated PXRD pattern (a wavelength of 1.5418 Å), based on a cell relaxed with GGA-PBE.
Lines closer than 0.1° are merged.

Top 10 peaks for 10° ≤ 2θ ≤ 90°, by angle:
2θ = 13.3°, I 100, (2 0 -1); 2θ = 25.3°, I 20, (2 0 1); 2θ = 26.1°, I 34, (0 2 1); 2θ = 26.7°, I 26, (4 0 -2); 2θ = 27.1°, I 24, (2 2 0); 2θ = 30.4°, I 44, (4 0 0); 2θ = 31.5°, I 81, (2 2 -2); 2θ = 34.0°, I 23, (4 2 -1); 2θ = 44.4°, I 59, (2 2 2); 2θ = 55.9°, I 17, (4 4 0)

Atomic structure:
```
data_Na4Ce3AuS8
_cell_length_a 14.276
_cell_length_b 7.936
_cell_length_c 8.115
_cell_angle_alpha 90.00
_cell_angle_beta 124.64
_cell_angle_gamma 90.00
_symmetry_space_group_name_H-M 'C 1 2/m 1'
_symmetry_Int_Tables_number 12
loop_
_symmetry_equiv_pos_as_xyz
'x,y,z'
'-x,-y,-z'
'-x,y,-z'
'x,-y,z'
'x+1/2,y+1/2,z'
'-x+1/2,-y+1/2,-z'
'-x+1/2,y+1/2,-z'
'x+1/2,-y+1/2,z'
loop_
_atom_site_label
_atom_site_fract_x
_atom_site_fract_y
_atom_site_fract_z
Na1 0.000 0.000 0.000
Na2 0.000 0.500 0.000
Na3 0.250 0.250 0.500
Ce1 0.000 0.000 0.500
Ce2 0.250 0.250 0.000
Au1 0.000 0.500 0.500
S1 0.012 0.255 0.745
S2 0.236 0.000 0.218
S3 0.241 0.000 0.748
```


Rb2Pb4Au3: simulated PXRD pattern (a wavelength of 1.5418 Å), based on a cell relaxed with GGA-PBE.
Lines closer than 0.1° are merged.

Top 10 peaks for 10° ≤ 2θ ≤ 90°, by angle:
2θ = 11.9°, I 23, (0 0 2); 2θ = 14.9°, I 28, (0 2 0); 2θ = 16.8°, I 34, (1 1 1); 2θ = 32.1°, I 100, (1 3 3); 2θ = 34.0°, I 46, (2 2 2); 2θ = 36.2°, I 24, (0 0 6); 2θ = 37.0°, I 30, (2 0 4); 2θ = 40.1°, I 28, (2 2 4); 2θ = 52.0°, I 26, (3 3 3); 2θ = 54.5°, I 23, (2 6 0)

Atomic structure:
```
data_Rb2Pb4Au3
_cell_length_a 6.417
_cell_length_b 11.853
_cell_length_c 14.886
_cell_angle_alpha 90.00
_cell_angle_beta 90.00
_cell_angle_gamma 90.00
_symmetry_space_group_name_H-M 'F m m m'
_symmetry_Int_Tables_number 69
_symmetry_space_group_name_Hall '-F 2 2'
loop_
_atom_site_label
_atom_site_fract_x
_atom_site_fract_y
_atom_site_fract_z
Rb1 0.000 0.000 0.126
Pb1 0.000 0.172 0.350
Au1 0.000 0.000 0.500
Au2 0.250 0.250 0.000
```


Li2CaTiO4: simulated PXRD pattern (a wavelength of 1.5418 Å), based on a cell relaxed with GGA-PBE.
Lines closer than 0.1° are merged.

Top 10 peaks for 10° ≤ 2θ ≤ 90°, by angle:
2θ = 24.2°, I 77, (1 1 0); 2θ = 25.9°, I 17, (0 0 2); 2θ = 35.7°, I 100, (1 1 2); 2θ = 43.6°, I 35, (2 0 2); 2θ = 49.6°, I 29, (2 2 0); 2θ = 55.9°, I 8, (3 1 0); 2θ = 59.2°, I 9, (1 1 4); 2θ = 62.6°, I 30, (3 1 2); 2θ = 64.9°, I 22, (2 0 4); 2θ = 80.8°, I 9, (3 1 4)

Atomic structure:
```
data_Li2CaTiO4
_cell_length_a 5.201
_cell_length_b 5.201
_cell_length_c 6.893
_cell_angle_alpha 90.00
_cell_angle_beta 90.00
_cell_angle_gamma 90.00
_symmetry_space_group_name_H-M 'I -4 2 m'
_symmetry_Int_Tables_number 121
_symmetry_space_group_name_Hall 'I -4 2'
loop_
_atom_site_label
_atom_site_fract_x
_atom_site_fract_y
_atom_site_fract_z
Li1 0.000 0.500 0.250
Ca1 0.000 0.000 0.000
Ti1 0.000 0.000 0.500
O1 0.210 0.210 0.646
```


Number 5 is which compound? TbPmErMg